Diffraction record for Ce6ZnRu. The powder XRD pattern is calculated, not measured: it uses a structure optimized by DFT (GGA-PBE) and a wavelength of 1.5418 Å.
Intensities are scaled so that the largest is 100.

Most intense lines, 10° ≤ 2θ ≤ 80°, by intensity:
two_theta  Rel. int.  (hkl)
34.12  100  1 1 4
36.87  44  2 0 0
64.67  31  3 1 4
59.23  16  2 0 8
53.13  15  2 2 0
44.64  9  0 0 8
71.85  9  2 2 8
28.12  8  1 1 2
50.38  6  2 0 6
33.10  5  0 0 6

Atomic structure:
a = 4.876 Å, b = 4.876 Å, c = 16.240 Å
α = 90.00°, β = 90.00°, γ = 90.00°
Fractional positions:
1 Ce 0.000 0.000 0.244
2 Ce 0.000 0.000 0.756
3 Ce 0.000 0.500 0.110
4 Ce 0.000 0.500 0.390
5 Ce 0.000 0.500 0.610
6 Ce 0.000 0.500 0.890
7 Ce 0.500 0.000 0.110
8 Ce 0.500 0.000 0.390
9 Ce 0.500 0.000 0.610
10 Ce 0.500 0.000 0.890
11 Ce 0.500 0.500 0.256
12 Ce 0.500 0.500 0.744
13 Zn 0.000 0.000 0.500
14 Zn 0.500 0.500 0.000
15 Ru 0.000 0.000 0.000
16 Ru 0.500 0.500 0.500